Entry 1:
Theoretical powder diffraction line list
Compound: TbErAlZn
Radiation: Cu Kα X-rays
Structure: a DFT-relaxed cell (PBE, Alexandria)

Peak list (8 most intense, 2θ from 5° to 70°, low angle first)
2θ = 24.6°, I = 18
2θ = 25.0°, I = 34
2θ = 35.4°, I = 100
2θ = 35.7°, I = 49
2θ = 43.8°, I = 16
2θ = 51.3°, I = 17
2θ = 63.4°, I = 18
2θ = 63.9°, I = 36

Cell and atoms:
```
TbErAlZn
1.0
3.5604 0.0000 0.0000
0.0000 3.5604 0.0000
0.0000 0.0000 7.2264
Tb Er Al Zn
1 1 1 1
Direct
0.0000 0.0000 0.0000
0.0000 0.0000 0.5096
0.5000 0.5000 0.2592
0.5000 0.5000 0.7464
```



Entry 2:
Theoretical powder diffraction line list
Compound: TbY3Ni8B8C4
Radiation: Cu Kα X-rays
Structure: a DFT-relaxed cell (PBE, Alexandria)

Peak list (8 most intense, 2θ from 5° to 70°, low angle first)
2θ = 26.5°, I = 36
2θ = 34.6°, I = 34
2θ = 36.3°, I = 27
2θ = 39.9°, I = 100
2θ = 51.5°, I = 26
2θ = 63.5°, I = 22
2θ = 64.6°, I = 10
2θ = 65.5°, I = 23

Cell and atoms:
```
TbY3Ni8B8C4
1.0
3.5513 0.0000 0.0000
0.0000 3.5513 0.0000
0.0000 0.0000 20.7494
Tb Y Ni B C
1 3 8 8 4
Direct
0.0000 0.0000 0.0000
0.0000 0.0000 0.5000
0.5000 0.5000 0.2499
0.5000 0.5000 0.7501
0.0000 0.5000 0.1249
0.0000 0.5000 0.3750
0.0000 0.5000 0.6250
0.0000 0.5000 0.8751
0.5000 0.0000 0.1249
0.5000 0.0000 0.3750
0.5000 0.0000 0.6250
0.5000 0.0000 0.8751
0.0000 0.0000 0.1778
0.0000 0.0000 0.3218
0.0000 0.0000 0.6782
0.0000 0.0000 0.8222
0.5000 0.5000 0.0720
0.5000 0.5000 0.4280
0.5000 0.5000 0.5720
0.5000 0.5000 0.9280
0.0000 0.0000 0.2498
0.0000 0.0000 0.7502
0.5000 0.5000 0.0000
0.5000 0.5000 0.5000
```



Entry 3:
Theoretical powder diffraction line list
Compound: LiMgZn10
Radiation: Cu Kα X-rays
Structure: a DFT-relaxed cell (PBE, Alexandria)

Peak list (8 most intense, 2θ from 5° to 70°, low angle first)
2θ = 19.9°, I = 98
2θ = 40.5°, I = 24
2θ = 40.8°, I = 100
2θ = 42.0°, I = 41
2θ = 45.8°, I = 98
2θ = 46.8°, I = 20
2θ = 59.7°, I = 15
2θ = 66.6°, I = 14

Cell and atoms:
```
LiMgZn10
1.0
4.3071 0.0000 0.0000
0.0000 5.1435 0.0000
0.0000 0.0000 8.9284
Li Mg Zn
1 1 10
Direct
0.0000 0.0000 0.0000
0.0000 0.5000 0.5000
0.0000 0.0000 0.3308
0.0000 0.0000 0.6692
0.0000 0.5000 0.1627
0.0000 0.5000 0.8373
0.5000 0.0000 0.5000
0.5000 0.2495 0.2490
0.5000 0.2495 0.7510
0.5000 0.5000 0.0000
0.5000 0.7505 0.2490
0.5000 0.7505 0.7510
```